Simulated powder diffraction line list
Compound: Pu2Ga6Mo
Radiation: λ = 1.5418 Å (Cu Kα)
Structure: a cell relaxed with GGA-PBE
Intensities are scaled so that the largest is 100.

Most intense lines, 5° ≤ 2θ ≤ 70°, sorted by position:
- 23.35°, I = 36
- 30.11°, I = 35
- 34.09°, I = 38
- 34.90°, I = 16
- 36.16°, I = 58
- 38.45°, I = 100
- 47.75°, I = 15
- 49.59°, I = 18
- 57.49°, I = 22
- 57.81°, I = 16
- 62.59°, I = 23
- 69.34°, I = 16

Atomic structure:
```
9
Lattice="5.9364 0.0000 0.0000 -2.9682 5.1411 0.0000 0.0000 0.0000 5.6737" Properties=species:S:1:pos:R:3 pbc="T T T"
Pu 0.0000 3.4274 0.9924
Pu 2.9682 1.7137 4.6813
Ga 0.0000 1.8324 3.8570
Ga -1.3813 4.2249 3.8570
Ga 1.5869 0.9162 1.8167
Ga 1.3813 4.2249 3.8570
Ga 4.3495 0.9162 1.8167
Ga 2.9682 3.3087 1.8167
Mo 0.0000 0.0000 0.0000
```


Simulated powder diffraction line list
Compound: Rb6Na7
Radiation: λ = 1.5418 Å (Cu Kα)
Structure: a cell relaxed with GGA-PBE
Intensities are scaled so that the largest is 100.

Most intense lines, 5° ≤ 2θ ≤ 70°, sorted by position:
- 13.30°, I = 17
- 21.00°, I = 17
- 22.86°, I = 100
- 24.37°, I = 70
- 26.00°, I = 65
- 26.14°, I = 45
- 26.54°, I = 21
- 40.15°, I = 22
- 41.08°, I = 34
- 42.18°, I = 41
- 44.14°, I = 19
- 46.70°, I = 28

Atomic structure:
```
13
Lattice="3.8898 2.2458 14.4918 -3.8898 2.2458 14.4918 0.0000 -4.4915 14.4918" Properties=species:S:1:pos:R:3 pbc="T T T"
Rb 0.0000 0.0000 2.2465
Rb 0.0000 0.0000 6.6452
Rb 0.0000 0.0000 14.4802
Rb 0.0000 0.0000 28.9952
Rb 0.0000 0.0000 36.8302
Rb 0.0000 0.0000 41.2288
Na -1.9375 -1.1186 18.5803
Na 0.0000 -2.2372 24.8950
Na -1.9375 1.1186 24.8950
Na 0.0000 0.0000 21.7377
Na 1.9375 -1.1186 18.5804
Na 0.0000 2.2372 18.5804
Na 1.9375 1.1186 24.8950
```


Simulated powder diffraction line list
Compound: CeNdIrPd
Radiation: λ = 1.5418 Å (Cu Kα)
Structure: a cell relaxed with GGA-PBE
Intensities are scaled so that the largest is 100.

Most intense lines, 5° ≤ 2θ ≤ 70°, sorted by position:
- 15.26°, I = 12
- 30.80°, I = 43
- 32.45°, I = 100
- 32.62°, I = 13
- 37.81°, I = 22
- 39.35°, I = 76
- 43.60°, I = 25
- 46.65°, I = 21
- 50.78°, I = 12
- 54.33°, I = 17
- 56.95°, I = 15
- 65.75°, I = 15

Atomic structure:
```
8
Lattice="4.1521 0.0000 0.0000 0.0000 3.8942 0.0000 0.0000 0.0000 11.6124" Properties=species:S:1:pos:R:3 pbc="T T T"
Ce 0.0000 0.0000 0.0000
Ce 0.0000 1.9471 5.8062
Nd 2.0760 0.0000 3.1970
Nd 2.0760 1.9471 9.0032
Ir 2.0760 0.0000 6.1767
Ir 2.0760 1.9471 0.3704
Pd 0.0000 0.0000 8.2718
Pd 0.0000 1.9471 2.4656
```


Simulated powder diffraction line list
Compound: La2PrHo5Th
Radiation: λ = 1.5418 Å (Cu Kα)
Structure: a cell relaxed with GGA-PBE
Intensities are scaled so that the largest is 100.

Most intense lines, 5° ≤ 2θ ≤ 70°, sorted by position:
- 27.97°, I = 22
- 29.99°, I = 45
- 31.53°, I = 43
- 32.06°, I = 100
- 33.60°, I = 13
- 42.64°, I = 14
- 46.74°, I = 10
- 50.76°, I = 12
- 55.18°, I = 8
- 56.47°, I = 20
- 59.22°, I = 14
- 60.99°, I = 14

Atomic structure:
```
18
Lattice="2.8379 -10.0306 0.0000 2.8379 10.0306 0.0000 0.0000 0.0000 10.6684" Properties=species:S:1:pos:R:3 pbc="T T T"
La 2.8379 7.6992 5.3342
La 2.8379 7.6834 9.6941
La 2.8379 -7.6834 4.3599
La 2.8379 -7.6992 0.0000
Pr 2.8379 1.7114 6.7636
Pr 2.8379 -1.7114 1.4294
Ho 2.8379 9.6969 2.2024
Ho 2.8379 4.4331 5.2503
Ho 2.8379 4.0392 9.4946
Ho 2.8379 2.2005 2.1687
Ho 2.8379 0.4215 9.7884
Ho 2.8379 -0.4215 4.4542
Ho 2.8379 -2.2005 7.5029
Ho 2.8379 -4.0392 4.1604
Ho 2.8379 -4.4331 10.5845
Ho 2.8379 -9.6969 7.5365
Th 2.8379 5.9471 2.0389
Th 2.8379 -5.9471 7.3731
```


Simulated powder diffraction line list
Compound: Rb4Pm3HfTe8
Radiation: λ = 1.5418 Å (Cu Kα)
Structure: a cell relaxed with GGA-PBE
Intensities are scaled so that the largest is 100.

Most intense lines, 5° ≤ 2θ ≤ 70°, sorted by position:
- 10.28°, I = 27
- 26.69°, I = 100
- 33.43°, I = 13
- 36.12°, I = 35
- 40.00°, I = 36
- 41.42°, I = 6
- 42.01°, I = 6
- 45.09°, I = 9
- 48.74°, I = 18
- 54.98°, I = 10
- 59.41°, I = 10
- 64.81°, I = 15

Atomic structure:
```
16
Lattice="4.5081 2.6028 8.6009 -4.5081 2.6028 8.6009 0.0000 -5.2055 8.6009" Properties=species:S:1:pos:R:3 pbc="T T T"
Rb 0.0000 0.0000 0.0000
Rb -2.2541 -1.3014 8.6009
Rb -2.2541 1.3014 17.2018
Rb 0.0000 2.6028 8.6009
Pm -4.5081 0.0000 12.9013
Pm -2.2541 1.3014 4.3004
Pm 2.2541 1.3014 4.3005
Hf 0.0000 0.0000 12.9014
Te 0.0000 0.0000 6.0940
Te -2.1154 -1.2213 14.6077
Te 0.0000 -2.4427 11.1950
Te -2.1154 1.2213 11.1950
Te 2.1154 -1.2213 14.6077
Te 0.0000 2.4427 14.6077
Te 2.1154 1.2213 11.1950
Te 0.0000 0.0000 19.7087
```


Simulated powder diffraction line list
Compound: LiCdPd
Radiation: λ = 1.5418 Å (Cu Kα)
Structure: a cell relaxed with GGA-PBE
Intensities are scaled so that the largest is 100.

Most intense lines, 5° ≤ 2θ ≤ 70°, sorted by position:
- 13.73°, I = 54
- 27.66°, I = 21
- 33.25°, I = 38
- 38.82°, I = 100
- 41.55°, I = 21
- 42.02°, I = 19
- 43.96°, I = 6
- 50.65°, I = 8
- 51.31°, I = 11
- 60.43°, I = 11
- 60.58°, I = 13
- 68.06°, I = 9

Atomic structure:
```
6
Lattice="3.5615 0.0000 0.0000 0.0000 4.3470 0.0000 -1.7705 0.0000 6.4502" Properties=species:S:1:pos:R:3 pbc="T T T"
Li 0.0054 1.0867 3.1873
Li 1.7857 3.2602 3.2630
Cd 0.0024 3.2602 1.1087
Cd 1.7887 1.0867 5.3415
Pd 0.0069 3.2602 5.2688
Pd 1.7842 1.0867 1.1815
```


Simulated powder diffraction line list
Compound: Nd2DySc4
Radiation: λ = 1.5418 Å (Cu Kα)
Structure: a cell relaxed with GGA-PBE
Intensities are scaled so that the largest is 100.

Most intense lines, 5° ≤ 2θ ≤ 70°, sorted by position:
- 10.65°, I = 56
- 23.47°, I = 88
- 24.21°, I = 100
- 31.96°, I = 77
- 32.52°, I = 29
- 34.50°, I = 79
- 42.15°, I = 39
- 47.74°, I = 50
- 48.00°, I = 22
- 49.59°, I = 27
- 55.92°, I = 20
- 56.73°, I = 21

Atomic structure:
```
14
Lattice="5.1998 0.0000 0.0000 0.0000 5.1998 0.0000 0.0000 0.0000 16.6143" Properties=species:S:1:pos:R:3 pbc="T T T"
Nd 0.0000 0.0000 2.1423
Nd 0.0000 0.0000 14.4720
Nd 2.5999 2.5999 6.1649
Nd 2.5999 2.5999 10.4495
Dy 0.0000 0.0000 8.3072
Dy 2.5999 2.5999 0.0000
Sc 0.0000 0.0000 5.4425
Sc 0.0000 0.0000 11.1718
Sc 0.0000 2.5999 0.0000
Sc 0.0000 2.5999 8.3072
Sc 2.5999 0.0000 0.0000
Sc 2.5999 0.0000 8.3072
Sc 2.5999 2.5999 2.8646
Sc 2.5999 2.5999 13.7497
```


Simulated powder diffraction line list
Compound: Ac2ZnRhAu
Radiation: λ = 1.5418 Å (Cu Kα)
Structure: a cell relaxed with GGA-PBE
Intensities are scaled so that the largest is 100.

Most intense lines, 5° ≤ 2θ ≤ 70°, sorted by position:
- 23.86°, I = 27
- 26.78°, I = 21
- 30.11°, I = 100
- 30.53°, I = 20
- 31.00°, I = 87
- 33.87°, I = 65
- 35.01°, I = 33
- 36.61°, I = 53
- 39.72°, I = 23
- 41.38°, I = 46
- 54.36°, I = 25
- 55.29°, I = 18

Atomic structure:
```
10
Lattice="7.9736 0.0000 0.0000 0.0000 4.3643 0.0000 -2.9079 0.0000 7.6883" Properties=species:S:1:pos:R:3 pbc="T T T"
Ac 0.0655 1.0911 2.8091
Ac -0.5727 1.0911 7.3596
Ac 5.6383 3.2732 0.3288
Ac 5.0001 3.2732 4.8793
Zn 2.6534 3.2732 2.4599
Zn 2.4123 1.0911 5.2284
Rh 0.6740 3.2732 0.8147
Rh 4.3917 1.0911 6.8736
Au 0.6290 3.2732 5.1876
Au 4.4366 1.0911 2.5007
```